Theoretical XRD peak list of ErFeSi2Mo for λ = 1.5418 Å (Cu Kα), from DFT lattice parameters and positions (GGA-PBE).

Structural model:
abc: 3.933 3.933 10.695
angles: 90.00 90.00 90.00
Atoms (fractional coordinates):
Er: 0.000 0.000 0.000
Er: 0.500 0.500 0.500
Fe: 0.000 0.500 0.250
Fe: 0.500 0.000 0.750
Si: 0.000 0.000 0.387
Si: 0.000 0.000 0.613
Si: 0.500 0.500 0.113
Si: 0.500 0.500 0.887
Mo: 0.000 0.500 0.750
Mo: 0.500 0.000 0.250

Principal peaks in the range 15 to 90 degrees two-theta, sorted by position:
two_theta  I (rel.)
24.1  42
33.5  20
33.9  44
36.4  100
46.2  33
79.0  20



Theoretical XRD peak list of La4NdH10 for λ = 1.5418 Å (Cu Kα), from DFT lattice parameters and positions (GGA-PBE).

Structural model:
abc: 16.340 16.340 16.340
angles: 13.91 13.91 13.91
Atoms (fractional coordinates):
La: 0.101 0.101 0.101
La: 0.300 0.300 0.300
La: 0.700 0.700 0.700
La: 0.899 0.899 0.899
Nd: 0.500 0.500 0.500
H: 0.051 0.051 0.051
H: 0.151 0.151 0.151
H: 0.249 0.249 0.249
H: 0.350 0.350 0.350
H: 0.451 0.451 0.451
H: 0.549 0.549 0.549
H: 0.650 0.650 0.650
H: 0.751 0.751 0.751
H: 0.849 0.849 0.849
H: 0.949 0.949 0.949

Principal peaks in the range 15 to 90 degrees two-theta, sorted by position:
two_theta  I (rel.)
27.6  100
32.0  49
45.8  39
54.3  45
57.0  13
76.0  16



Theoretical XRD peak list of AcSbIO4 for λ = 1.5418 Å (Cu Kα), from DFT lattice parameters and positions (GGA-PBE).

Structural model:
abc: 7.358 7.358 7.517
angles: 101.40 101.40 56.42
Atoms (fractional coordinates):
Ac: 0.206 0.206 0.323
Ac: 0.794 0.794 0.677
Sb: 0.130 0.130 0.750
Sb: 0.870 0.870 0.250
I: 0.481 0.481 0.817
I: 0.519 0.519 0.183
O: 0.019 0.019 0.286
O: 0.024 0.613 0.378
O: 0.194 0.194 0.001
O: 0.387 0.976 0.622
O: 0.613 0.024 0.378
O: 0.806 0.806 0.999
O: 0.976 0.387 0.622
O: 0.981 0.981 0.714

Principal peaks in the range 15 to 90 degrees two-theta, sorted by position:
two_theta  I (rel.)
24.3  40
24.7  100
25.4  34
25.6  70
31.3  38
35.6  30



Theoretical XRD peak list of Na3Pb5 for λ = 1.5418 Å (Cu Kα), from DFT lattice parameters and positions (GGA-PBE).

Structural model:
abc: 12.717 7.055 11.690
angles: 81.39 33.27 65.35
Atoms (fractional coordinates):
Na: 0.000 0.000 0.000
Na: 0.001 0.494 0.000
Na: 0.250 0.250 0.250
Na: 0.250 0.745 0.249
Na: 0.494 0.001 0.505
Na: 0.745 0.250 0.756
Pb: 0.036 0.294 0.712
Pb: 0.040 0.789 0.710
Pb: 0.293 0.538 0.956
Pb: 0.294 0.036 0.957
Pb: 0.497 0.497 0.503
Pb: 0.538 0.293 0.214
Pb: 0.540 0.789 0.210
Pb: 0.747 0.747 0.753
Pb: 0.789 0.040 0.461
Pb: 0.789 0.540 0.461

Principal peaks in the range 15 to 90 degrees two-theta, sorted by position:
two_theta  I (rel.)
15.9  29
29.3  25
32.1  23
33.5  100
44.0  25
58.1  21